Structure and theoretical powder X-ray diffraction pattern of Li2Co3TeO8 (DFT lattice parameters and positions (PBE+U); Cu Kα (weighted mean of Kα1 and Kα2)).

Largest 12 diffraction maxima, in order of falling intensity, 5 to 70 degrees two-theta:
index, Position (°2θ), I (rel.)
1 1 -1, 19.53, 100
2 0 -2, 35.42, 46
1 1 -3, 32.51, 38
2 2 -1, 36.19, 31
2 2 3, 44.94, 30
1 1 2, 25.14, 29
2 2 -5, 59.38, 26
2 6 0, 62.78, 15
0 4 2, 39.66, 13
2 2 4, 51.61, 12
2 2 0, 34.97, 11
3 1 3, 55.04, 9

Structure:
```
data_Li2Co3TeO8
_chemical_formula_sum 'Li8 Co12 Te4 O32'
_symmetry_space_group_name_H-M 'C 1 c 1'
_symmetry_Int_Tables_number 9
_cell_length_a 5.934
_cell_length_b 10.246
_cell_length_c 9.791
_cell_angle_alpha 90.00
_cell_angle_beta 90.08
_cell_angle_gamma 90.00
loop_
_symmetry_equiv_pos_as_xyz
'x,y,z'
'x,-y,z+1/2'
'x+1/2,y+1/2,z'
'x+1/2,-y+1/2,z+1/2'
loop_
_atom_site_label
_atom_site_type_symbol
_atom_site_fract_x
_atom_site_fract_y
_atom_site_fract_z
Li1 Li 0.000 0.001 0.000
Li2 Li 0.002 0.335 0.077
Co1 Co 0.010 0.178 0.773
Co2 Co 0.240 0.408 0.776
Co3 Co 0.253 0.084 0.265
Te1 Te 0.004 0.333 0.500
O1 O 0.004 0.001 0.692
O2 O 0.225 0.256 0.633
O3 O 0.245 0.415 0.398
O4 O 0.255 0.088 0.898
O5 O 0.280 0.240 0.135
O6 O 0.482 0.164 0.377
O7 O 0.496 0.330 0.898
O8 O 0.499 0.019 0.135
```